Computed XRD peak list of Nd3YHo7 for Cu Kα, from a crystal structure in Alexandria, relaxed with GGA-PBE.
Lines closer than 0.1° are merged.

Crystal structure
Cell: 7.069 7.069 8.680 Å, 90.00 90.00 120.00°
Fractional coordinates of all 11 atoms:
Nd  0.167  0.334  0.000
Nd  0.167  0.833  0.000
Nd  0.666  0.833  0.000
Y  0.000  0.000  0.340
Ho  0.002  0.501  0.339
Ho  0.332  0.166  0.663
Ho  0.333  0.667  0.661
Ho  0.499  0.501  0.339
Ho  0.499  0.998  0.339
Ho  0.834  0.166  0.663
Ho  0.834  0.668  0.663

Top 8 peaks for 2θ from 5° to 70°, sorted by position:
| 2θ (°) | intensity |
| --- | --- |
| 10.19 | 57 |
| 17.73 | 64 |
| 30.96 | 1000 |
| 35.90 | 513 |
| 51.68 | 355 |
| 61.45 | 319 |
| 61.52 | 106 |
| 64.57 | 93 |


Computed XRD peak list of Nd6Y3Ho for Cu Kα, from a crystal structure in Alexandria, relaxed with GGA-PBE.
Lines closer than 0.1° are merged.

Crystal structure
Cell: 11.805 3.587 17.063 Å, 90.00 108.63 90.00°
Fractional coordinates of all 20 atoms:
Nd  0.100  0.250  0.257
Nd  0.126  0.250  0.675
Nd  0.153  0.250  0.894
Nd  0.360  0.750  0.617
Nd  0.365  0.750  0.409
Nd  0.400  0.750  0.042
Nd  0.600  0.250  0.958
Nd  0.635  0.250  0.591
Nd  0.640  0.250  0.383
Nd  0.847  0.750  0.106
Nd  0.874  0.750  0.325
Nd  0.900  0.750  0.743
Y  0.121  0.250  0.468
Y  0.125  0.750  0.075
Y  0.367  0.250  0.215
Y  0.633  0.750  0.785
Y  0.875  0.250  0.925
Y  0.879  0.750  0.532
Ho  0.356  0.750  0.822
Ho  0.644  0.250  0.178

Top 8 peaks for 2θ from 5° to 70°, sorted by position:
| 2θ (°) | intensity |
| --- | --- |
| 29.59 | 1000 |
| 29.92 | 326 |
| 30.25 | 951 |
| 31.15 | 802 |
| 32.00 | 686 |
| 33.40 | 322 |
| 33.88 | 292 |
| 36.35 | 557 |


Computed XRD peak list of Nd19Y4Ho6 for Cu Kα, from a crystal structure in Alexandria, relaxed with GGA-PBE.
Lines closer than 0.1° are merged.

Crystal structure
Cell: 11.016 11.016 11.016 Å, 109.47 109.47 109.47°
Fractional coordinates of all 29 atoms:
Nd  0.000  0.000  0.000
Nd  0.000  0.261  0.261
Nd  0.000  0.739  0.739
Nd  0.020  0.219  0.676
Nd  0.199  0.980  0.657
Nd  0.219  0.676  0.020
Nd  0.261  0.000  0.261
Nd  0.261  0.261  0.000
Nd  0.324  0.542  0.343
Nd  0.343  0.324  0.542
Nd  0.458  0.781  0.801
Nd  0.542  0.343  0.324
Nd  0.657  0.199  0.980
Nd  0.676  0.020  0.219
Nd  0.739  0.000  0.739
Nd  0.739  0.739  0.000
Nd  0.781  0.801  0.458
Nd  0.801  0.458  0.781
Nd  0.980  0.657  0.199
Y  0.000  0.000  0.360
Y  0.000  0.360  0.000
Y  0.360  0.000  0.000
Y  0.640  0.640  0.640
Ho  0.125  0.500  0.625
Ho  0.375  0.875  0.500
Ho  0.500  0.375  0.875
Ho  0.500  0.625  0.125
Ho  0.625  0.125  0.500
Ho  0.875  0.500  0.375

Top 8 peaks for 2θ from 5° to 70°, sorted by position:
| 2θ (°) | intensity |
| --- | --- |
| 26.21 | 801 |
| 28.06 | 801 |
| 29.80 | 1000 |
| 34.54 | 506 |
| 36.00 | 975 |
| 46.26 | 295 |
| 58.99 | 371 |
| 59.97 | 276 |


Computed XRD peak list of Nd4Y3Ho2 for Cu Kα, from a crystal structure in Alexandria, relaxed with GGA-PBE.
Lines closer than 0.1° are merged.

Crystal structure
Cell: 9.845 9.845 7.128 Å, 90.00 90.00 119.95°
Fractional coordinates of all 18 atoms:
Nd  0.023  0.677  0.000
Nd  0.321  0.349  0.000
Nd  0.323  0.977  0.500
Nd  0.349  0.321  0.500
Nd  0.651  0.679  0.500
Nd  0.677  0.023  0.500
Nd  0.679  0.651  0.000
Nd  0.977  0.323  0.000
Y  0.000  0.000  0.250
Y  0.000  0.000  0.750
Y  0.329  0.671  0.250
Y  0.329  0.671  0.750
Y  0.671  0.329  0.250
Y  0.671  0.329  0.750
Ho  0.025  0.347  0.500
Ho  0.347  0.025  0.000
Ho  0.653  0.975  0.000
Ho  0.975  0.653  0.500

Top 8 peaks for 2θ from 5° to 70°, sorted by position:
| 2θ (°) | intensity |
| --- | --- |
| 24.98 | 187 |
| 30.44 | 116 |
| 30.97 | 845 |
| 31.47 | 1000 |
| 40.59 | 270 |
| 44.74 | 283 |
| 55.72 | 271 |
| 61.40 | 307 |